# 1
The following is a simulated powder diffraction line list of LiCoBr4. It was derived from the PBE geometry in Alexandria, using Cu Kα X-rays.
Neutral-atom scattering factors, no anomalous dispersion.

Structural model:
```
data_LiCoBr4
_chemical_formula_sum 'Li2 Co2 Br8'
_symmetry_space_group_name_H-M 'P 42/m m c'
_symmetry_Int_Tables_number 131
_symmetry_space_group_name_Hall '-P 4c 2'
_cell_length_a 7.252
_cell_length_b 7.252
_cell_length_c 9.263
_cell_angle_alpha 90.00
_cell_angle_beta 90.00
_cell_angle_gamma 90.00
loop_
_atom_site_label
_atom_site_fract_x
_atom_site_fract_y
_atom_site_fract_z
Li1 0.000 0.000 0.000
Co1 0.000 0.500 0.000
Br1 0.227 0.273 0.000
```

The 6 most intense peaks (10° ≤ 2θ ≤ 80°), low angle first:
2θ 15.52, I = 50.1, (1 0 1); 2θ 19.16, I = 100.0, (0 0 2); 2θ 24.55, I = 42.4, (2 0 0); 2θ 31.33, I = 44.8, (2 0 2); 2θ 34.99, I = 36.9, (2 2 0); 2θ 40.20, I = 49.7, (2 2 2)

***

# 2
The following is a simulated powder diffraction line list of BeCu5Si2. It was derived from the PBE geometry in Alexandria, using Cu Kα X-rays.
Neutral-atom scattering factors, no anomalous dispersion.

Structural model:
```
data_BeCu5Si2
_chemical_formula_sum 'Be2 Cu10 Si4'
_symmetry_space_group_name_H-M 'C 1 2/m 1'
_symmetry_Int_Tables_number 12
_cell_length_a 6.056
_cell_length_b 6.892
_cell_length_c 4.615
_cell_angle_alpha 90.00
_cell_angle_beta 97.29
_cell_angle_gamma 90.00
loop_
_symmetry_equiv_pos_as_xyz
'x,y,z'
'-x,-y,-z'
'-x,y,-z'
'x,-y,z'
'x+1/2,y+1/2,z'
'-x+1/2,-y+1/2,-z'
'-x+1/2,y+1/2,-z'
'x+1/2,-y+1/2,z'
loop_
_atom_site_label
_atom_site_fract_x
_atom_site_fract_y
_atom_site_fract_z
Be1 0.000 0.000 0.000
Cu1 0.000 0.000 0.500
Cu2 0.169 0.312 0.219
Si1 0.160 0.500 0.705
```

The 6 most intense peaks (10° ≤ 2θ ≤ 80°), low angle first:
2θ 26.33, I = 45.8, (1 1 -1); 2θ 37.85, I = 54.2, (2 0 1); 2θ 42.83, I = 65.6, (2 2 -1); 2θ 45.89, I = 47.2, (1 3 -1); 2θ 46.75, I = 49.1, (2 0 -2); 2θ 47.64, I = 100.0, (1 3 1)